This entry pairs a crystal structure of Sr2TlVO6 with its calculated X-ray powder pattern. Radiation: Cu Kα. Structure: a structure optimized by DFT (GGA+U).
Intensities are scaled so that the largest is 100.

```
Sr2TlVO6
1.0
5.6663 0.0000 0.0000
0.0000 5.6663 0.0000
0.0000 0.0000 4.6302
Sr Tl V O
2 1 1 6
direct
0.0000 0.5000 0.0000
0.5000 0.0000 0.0000
0.0000 0.0000 0.5564
0.5000 0.5000 0.5550
0.0000 0.0000 0.0914
0.2749 0.2749 0.6618
0.2749 0.7251 0.6618
0.5000 0.5000 0.1850
0.7251 0.2749 0.6618
0.7251 0.7251 0.6618
```

Most intense lines, 2θ from 10° to 90°, in order of rising 2θ:
2θ 15.6, I = 25.3, (1 0 0)
2θ 24.8, I = 17.2, (1 0 1)
2θ 29.5, I = 100.0, (1 1 1)
2θ 31.6, I = 41.8, (2 0 0)
2θ 38.9, I = 13.0, (0 0 2)
2θ 40.6, I = 12.8, (2 1 1)
2θ 45.3, I = 32.7, (2 2 0)
2θ 50.9, I = 24.7, (2 0 2)
2θ 54.9, I = 34.6, (3 1 1)
2θ 61.2, I = 13.4, (2 2 2)